# 1
Simulated powder diffractogram
Compound: Hg5Bi2Pb3
Radiation: CuKα
Structure: a crystal structure in Alexandria, relaxed with PBE

Atomic structure:
```
data_Hg5Bi2Pb3
_chemical_formula_sum 'Hg10 Bi4 Pb6'
_cell_length_a 8.064
_cell_length_b 8.775
_cell_length_c 9.128
_cell_angle_alpha 89.81
_cell_angle_beta 74.14
_cell_angle_gamma 74.59
_symmetry_space_group_name_H-M 'P -1'
_symmetry_Int_Tables_number 2
loop_
_symmetry_equiv_pos_as_xyz
'x,y,z'
'-x,-y,-z'
loop_
_atom_site_label
_atom_site_type_symbol
_atom_site_fract_x
_atom_site_fract_y
_atom_site_fract_z
_atom_site_occupancy
Hg1 Hg 0.090 0.289 0.458 1
Hg2 Hg 0.170 0.934 0.578 1
Hg3 Hg 0.317 0.722 0.798 1
Hg4 Hg 0.344 0.528 0.419 1
Hg5 Hg 0.408 0.095 0.191 1
Bi1 Bi 0.118 0.133 0.983 1
Bi2 Bi 0.385 0.380 0.972 1
Pb1 Pb 0.035 0.512 0.806 1
Pb2 Pb 0.193 0.819 0.208 1
Pb3 Pb 0.412 0.183 0.646 1
```

Most intense lines, 2θ = 15–90°, low angle first:
2θ = 30.21°, rel. 100; 2θ = 30.81°, rel. 78; 2θ = 30.90°, rel. 18; 2θ = 31.78°, rel. 79; 2θ = 32.10°, rel. 23; 2θ = 32.76°, rel. 52; 2θ = 34.70°, rel. 55; 2θ = 35.31°, rel. 58; 2θ = 44.96°, rel. 18; 2θ = 45.38°, rel. 23

***

# 2
Simulated powder diffractogram
Compound: CdAsS
Radiation: CuKα
Structure: a crystal structure in Alexandria, relaxed with PBE

Atomic structure:
```
data_CdAsS
_chemical_formula_sum 'Cd2 As2 S2'
_cell_length_a 4.0035
_cell_length_b 4.0035
_cell_length_c 10.8178
_cell_angle_alpha 90.00
_cell_angle_beta 90.00
_cell_angle_gamma 120.00
_symmetry_space_group_name_H-M 'P 3 m 1'
_symmetry_Int_Tables_number 156
loop_
_symmetry_equiv_pos_as_xyz
'x,y,z'
'-y,x-y,z'
'-x+y,-x,z'
'-y,-x,z'
'-x+y,y,z'
'x,x-y,z'
loop_
_atom_site_label
_atom_site_type_symbol
_atom_site_fract_x
_atom_site_fract_y
_atom_site_fract_z
_atom_site_occupancy
Cd1 Cd 0.0000 0.0000 0.0000 1
Cd2 Cd 0.3333 0.6667 0.3305 1
As1 As 0.0000 0.0000 0.7499 1
As2 As 0.3333 0.6667 0.6369 1
S1 S 0.3333 0.6667 0.0932 1
S2 S 0.6667 0.3333 0.4313 1
```

Most intense lines, 2θ = 15–90°, low angle first:
2θ = 24.69°, rel. 41; 2θ = 25.69°, rel. 40; 2θ = 27.01°, rel. 100; 2θ = 30.63°, rel. 15; 2θ = 35.93°, rel. 34; 2θ = 42.39°, rel. 66; 2θ = 45.30°, rel. 53; 2θ = 52.27°, rel. 30; 2θ = 63.77°, rel. 19; 2θ = 81.64°, rel. 19

***

# 3
Simulated powder diffractogram
Compound: In8Bi3Pb2
Radiation: CuKα
Structure: a crystal structure in Alexandria, relaxed with PBE

Atomic structure:
```
data_In8Bi3Pb2
_chemical_formula_sum 'In16 Bi6 Pb4'
_cell_length_a 8.917
_cell_length_b 16.674
_cell_length_c 5.573
_cell_angle_alpha 90.00
_cell_angle_beta 90.00
_cell_angle_gamma 90.00
_symmetry_space_group_name_H-M 'C m m m'
_symmetry_Int_Tables_number 65
_symmetry_space_group_name_Hall '-C 2 2'
loop_
_atom_site_label
_atom_site_type_symbol
_atom_site_fract_x
_atom_site_fract_y
_atom_site_fract_z
_atom_site_occupancy
In1 In 0.000 0.110 0.000 1
In2 In 0.000 0.320 0.000 1
In3 In 0.186 0.391 0.500 1
Bi1 Bi 0.000 0.000 0.500 1
Bi2 Bi 0.178 0.500 0.000 1
Pb1 Pb 0.000 0.212 0.500 1
```

Most intense lines, 2θ = 15–90°, low angle first:
2θ = 22.62°, rel. 23; 2θ = 30.55°, rel. 42; 2θ = 32.12°, rel. 58; 2θ = 32.87°, rel. 100; 2θ = 33.54°, rel. 82; 2θ = 37.93°, rel. 23; 2θ = 44.92°, rel. 29; 2θ = 57.74°, rel. 20; 2θ = 61.22°, rel. 33; 2θ = 68.52°, rel. 22

***

# 4
Simulated powder diffractogram
Compound: In5B2Pd12
Radiation: CuKα
Structure: a crystal structure in Alexandria, relaxed with PBE

Atomic structure:
```
data_In5B2Pd12
_chemical_formula_sum 'In10 B4 Pd24'
_cell_length_a 14.788
_cell_length_b 6.170
_cell_length_c 7.635
_cell_angle_alpha 90.00
_cell_angle_beta 109.39
_cell_angle_gamma 90.00
_symmetry_space_group_name_H-M 'C 1 2/m 1'
_symmetry_Int_Tables_number 12
loop_
_symmetry_equiv_pos_as_xyz
'x,y,z'
'-x,-y,-z'
'-x,y,-z'
'x,-y,z'
'x+1/2,y+1/2,z'
'-x+1/2,-y+1/2,-z'
'-x+1/2,y+1/2,-z'
'x+1/2,-y+1/2,z'
loop_
_atom_site_label
_atom_site_type_symbol
_atom_site_fract_x
_atom_site_fract_y
_atom_site_fract_z
_atom_site_occupancy
In1 In 0.000 0.000 0.000 1
In2 In 0.248 0.500 0.505 1
In3 In 0.250 0.000 0.002 1
B1 B 0.000 0.258 0.500 1
Pd1 Pd 0.035 0.500 0.341 1
Pd2 Pd 0.045 0.000 0.365 1
Pd3 Pd 0.141 0.250 0.694 1
Pd4 Pd 0.153 0.257 0.181 1
```

Most intense lines, 2θ = 15–90°, low angle first:
2θ = 37.77°, rel. 92; 2θ = 38.46°, rel. 100; 2θ = 38.98°, rel. 95; 2θ = 41.60°, rel. 50; 2θ = 47.80°, rel. 20; 2θ = 49.06°, rel. 19; 2θ = 59.97°, rel. 20; 2θ = 65.09°, rel. 22; 2θ = 68.35°, rel. 19; 2θ = 74.52°, rel. 18